Computed PXRD pattern
Compound: Li3Fe3P4O16
Radiation: a wavelength of 1.5418 Å
Structure: the GGA+U geometry in Alexandria
Lines closer than 0.1° are merged.

Most intense lines, 5 to 70 degrees two-theta, in order of falling intensity:
| Position (°2θ) | d (Å) | I_rel | h k l |
| --- | --- | --- | --- |
| 9.2 | 9.584 | 100.0 | 2 0 0 |
| 16.7 | 5.303 | 43.6 | 1 1 -1 |
| 32.6 | 2.746 | 35.8 | 0 2 2 |
| 14.5 | 6.114 | 35.3 | 1 1 0 |
| 16.9 | 5.253 | 32.9 | 1 1 1 |
| 19.1 | 4.657 | 20.1 | 2 0 -2 |
| 32.4 | 2.766 | 17.2 | 6 0 -2 |
| 34.3 | 2.617 | 16.9 | 0 0 4 |
| 19.6 | 4.534 | 13.3 | 2 0 2 |
| 33.3 | 2.689 | 12.7 | 6 0 2 |
| 27.1 | 3.295 | 11.6 | 5 1 0 |
| 29.3 | 3.044 | 11.1 | 1 1 -3 |

```
data_Li3Fe3P4O16
_chemical_formula_sum 'Li12 Fe12 P16 O64'
_cell_length_a 19.177
_cell_length_b 6.450
_cell_length_c 10.473
_cell_angle_alpha 90.00
_cell_angle_beta 91.83
_cell_angle_gamma 90.00
_space_group_name_H-M_alt 'C 1 2/c 1'
_space_group_IT_number 15
_space_group_name_Hall '-C 2yc'
loop_
_atom_site_label
_atom_site_type_symbol
_atom_site_fract_x
_atom_site_fract_y
_atom_site_fract_z
Li1 Li 0.000 0.036 0.250
Li2 Li 0.067 0.397 0.553
Fe1 Fe 0.155 0.021 0.742
Fe2 Fe 0.250 0.250 0.000
P1 P 0.084 0.164 0.994
P2 P 0.199 0.479 0.250
O1 O 0.024 0.311 0.015
O2 O 0.078 0.049 0.863
O3 O 0.086 0.007 0.601
O4 O 0.152 0.296 0.000
O5 O 0.153 0.338 0.709
O6 O 0.156 0.287 0.278
O7 O 0.243 0.059 0.855
O8 O 0.246 0.027 0.136
```